# LaTbHoCo
Theoretical X-ray powder pattern, Cu Kα, 1.54184 Å. Input: DFT lattice parameters and positions (GGA-PBE).
Intensities are scaled so that the largest is 100.

Structural model:
```
data_LaTbHoCo
_chemical_formula_sum 'La2 Tb2 Ho2 Co2'
_cell_length_a 3.517
_cell_length_b 4.773
_cell_length_c 13.083
_cell_angle_alpha 90.00
_cell_angle_beta 90.00
_cell_angle_gamma 90.00
_symmetry_space_group_name_H-M 'A m m 2'
_symmetry_Int_Tables_number 38
loop_
_symmetry_equiv_pos_as_xyz
'x,y,z'
'-x,-y,z'
'-x,y,z'
'x,-y,z'
'x,y+1/2,z+1/2'
'-x,-y+1/2,z+1/2'
'-x,y+1/2,z+1/2'
'x,-y+1/2,z+1/2'
loop_
_atom_site_label
_atom_site_type_symbol
_atom_site_fract_x
_atom_site_fract_y
_atom_site_fract_z
La1 La 0.000 0.000 0.000
Tb1 Tb 0.500 0.000 0.654
Ho1 Ho 0.500 0.000 0.334
Co1 Co 0.000 0.000 0.815
```

Most intense lines, 10 to 90 degrees two-theta, by angle:
2theta  intensity  h k l
27.7  100  0 1 3
28.8  32  1 0 2
32.3  100  1 1 1
37.6  33  1 0 4
37.7  39  0 2 0
37.9  34  1 1 3
41.4  27  0 0 6
47.3  25  1 1 5
54.3  23  1 2 4
59.9  23  2 1 3

# AcIn3Hg3
Theoretical X-ray powder pattern, Cu Kα, 1.54184 Å. Input: DFT lattice parameters and positions (GGA-PBE).
Intensities are scaled so that the largest is 100.

Structural model:
```
data_AcIn3Hg3
_chemical_formula_sum 'Ac4 In12 Hg12'
_cell_length_a 9.226
_cell_length_b 9.245
_cell_length_c 9.916
_cell_angle_alpha 74.42
_cell_angle_beta 74.40
_cell_angle_gamma 79.80
_symmetry_space_group_name_H-M 'P 1'
_symmetry_Int_Tables_number 1
loop_
_symmetry_equiv_pos_as_xyz
'x,y,z'
loop_
_atom_site_label
_atom_site_type_symbol
_atom_site_fract_x
_atom_site_fract_y
_atom_site_fract_z
Ac1 Ac 0.000 0.000 0.000
Ac2 Ac 0.148 0.416 0.593
Ac3 Ac 0.478 0.424 0.056
Ac4 Ac 0.649 0.076 0.491
In1 In 0.141 0.670 0.890
In2 In 0.267 0.721 0.251
In3 In 0.305 0.167 0.365
In4 In 0.430 0.812 0.911
In5 In 0.445 0.190 0.804
In6 In 0.519 0.476 0.392
In7 In 0.697 0.711 0.127
In8 In 0.705 0.679 0.652
In9 In 0.754 0.284 0.798
In10 In 0.821 0.335 0.182
In11 In 0.889 0.739 0.339
In12 In 0.981 0.097 0.612
Hg1 Hg 0.018 0.052 0.318
Hg2 Hg 0.079 0.777 0.578
Hg3 Hg 0.104 0.465 0.222
Hg4 Hg 0.141 0.327 0.956
Hg5 Hg 0.278 0.014 0.684
Hg6 Hg 0.324 0.045 0.110
Hg7 Hg 0.426 0.535 0.700
Hg8 Hg 0.454 0.819 0.438
Hg9 Hg 0.635 0.058 0.150
Hg10 Hg 0.743 0.917 0.828
Hg11 Hg 0.820 0.408 0.473
Hg12 Hg 0.860 0.537 0.885
```

Most intense lines, 10 to 90 degrees two-theta, by angle:
2theta  intensity  h k l
30.3  33  0 3 0
30.9  49  3 1 0
31.0  82  3 1 2
31.7  41  -2 2 1
31.9  100  1 -2 2
32.6  75  -1 1 3
32.8  50  1 0 -3
33.1  61  3 -1 0
34.6  38  2 3 0
41.8  35  1 2 -3

# AcLa6Er
Theoretical X-ray powder pattern, Cu Kα, 1.54184 Å. Input: DFT lattice parameters and positions (GGA-PBE).
Intensities are scaled so that the largest is 100.

Structural model:
```
data_AcLa6Er
_chemical_formula_sum 'Ac1 La6 Er1'
_cell_length_a 5.279
_cell_length_b 5.279
_cell_length_c 10.568
_cell_angle_alpha 90.00
_cell_angle_beta 90.00
_cell_angle_gamma 90.00
_symmetry_space_group_name_H-M 'P 4/m m m'
_symmetry_Int_Tables_number 123
_symmetry_space_group_name_Hall '-P 4 2'
loop_
_atom_site_label
_atom_site_type_symbol
_atom_site_fract_x
_atom_site_fract_y
_atom_site_fract_z
Ac1 Ac 0.000 0.000 0.000
La1 La 0.000 0.500 0.257
La2 La 0.500 0.500 0.000
La3 La 0.500 0.500 0.500
Er1 Er 0.000 0.000 0.500
```

Most intense lines, 10 to 90 degrees two-theta, by angle:
2theta  intensity  h k l
16.8  2  0 0 2
23.8  2  1 1 0
29.3  100  1 1 2
34.0  51  2 0 0
48.8  37  2 2 0
57.9  44  3 1 2
60.8  13  2 2 4
71.5  6  4 0 0
79.0  18  3 3 2
81.5  16  4 2 0

# PaAlBiO6
Theoretical X-ray powder pattern, Cu Kα, 1.54184 Å. Input: DFT lattice parameters and positions (GGA-PBE).
Intensities are scaled so that the largest is 100.

Structural model:
```
data_PaAlBiO6
_chemical_formula_sum 'Pa1 Al1 Bi1 O6'
_cell_length_a 5.3297
_cell_length_b 5.3297
_cell_length_c 4.8350
_cell_angle_alpha 90.00
_cell_angle_beta 90.00
_cell_angle_gamma 120.00
_symmetry_space_group_name_H-M 'P 3 1 2'
_symmetry_Int_Tables_number 149
loop_
_symmetry_equiv_pos_as_xyz
'x,y,z'
'-y,x-y,z'
'-x+y,-x,z'
'-y,-x,-z'
'-x+y,y,-z'
'x,x-y,-z'
loop_
_atom_site_label
_atom_site_type_symbol
_atom_site_fract_x
_atom_site_fract_y
_atom_site_fract_z
Pa1 Pa 0.0000 0.0000 0.0000
Al1 Al 0.6667 0.3333 0.5000
Bi1 Bi 0.3333 0.6667 0.5000
O1 O 0.3580 0.0420 0.7344
```

Most intense lines, 10 to 90 degrees two-theta, by angle:
2theta  intensity  h k l
19.2  23  1 0 0
26.7  100  1 0 1
33.6  33  1 1 0
43.4  28  2 0 1
51.0  31  2 -1 2
56.0  27  2 1 1
60.1  11  3 0 0
60.9  11  1 0 3
77.1  11  4 -1 1
81.3  10  3 -1 3

# K4H5Se4O16
Theoretical X-ray powder pattern, Cu Kα, 1.54184 Å. Input: DFT lattice parameters and positions (GGA-PBE).
Intensities are scaled so that the largest is 100.

Structural model:
```
data_K4H5Se4O16
_chemical_formula_sum 'K4 H5 Se4 O16'
_cell_length_a 7.709
_cell_length_b 7.963
_cell_length_c 7.996
_cell_angle_alpha 71.72
_cell_angle_beta 84.94
_cell_angle_gamma 86.76
_symmetry_space_group_name_H-M 'P -1'
_symmetry_Int_Tables_number 2
loop_
_symmetry_equiv_pos_as_xyz
'x,y,z'
'-x,-y,-z'
loop_
_atom_site_label
_atom_site_type_symbol
_atom_site_fract_x
_atom_site_fract_y
_atom_site_fract_z
K1 K 0.038 0.213 0.252
K2 K 0.335 0.661 0.313
H1 H 0.248 0.041 0.927
H2 H 0.352 0.914 0.500
H3 H 0.500 0.500 0.000
Se1 Se 0.129 0.284 0.716
Se2 Se 0.468 0.806 0.783
O1 O 0.002 0.442 0.758
O2 O 0.021 0.156 0.635
O3 O 0.183 0.155 0.932
O4 O 0.315 0.351 0.600
O5 O 0.318 0.810 0.610
O6 O 0.340 0.846 0.949
O7 O 0.375 0.044 0.306
O8 O 0.432 0.404 0.137
```

Most intense lines, 10 to 90 degrees two-theta, by angle:
2theta  intensity  h k l
17.2  30  1 1 1
18.8  17  -1 1 1
22.5  17  1 1 -1
22.8  32  0 2 1
23.5  100  0 0 2
25.7  24  2 1 0
25.9  27  2 1 1
26.4  49  2 -1 0
27.7  30  0 2 2
29.5  28  0 2 -1

# Mg2TaCr
Theoretical X-ray powder pattern, Cu Kα, 1.54184 Å. Input: DFT lattice parameters and positions (GGA-PBE).
Intensities are scaled so that the largest is 100.

Structural model:
```
data_Mg2TaCr
_chemical_formula_sum 'Mg4 Ta2 Cr2'
_cell_length_a 3.273
_cell_length_b 4.769
_cell_length_c 9.277
_cell_angle_alpha 90.00
_cell_angle_beta 90.00
_cell_angle_gamma 90.00
_symmetry_space_group_name_H-M 'C m m 2'
_symmetry_Int_Tables_number 35
loop_
_symmetry_equiv_pos_as_xyz
'x,y,z'
'-x,-y,z'
'-x,y,z'
'x,-y,z'
'x+1/2,y+1/2,z'
'-x+1/2,-y+1/2,z'
'-x+1/2,y+1/2,z'
'x+1/2,-y+1/2,z'
loop_
_atom_site_label
_atom_site_type_symbol
_atom_site_fract_x
_atom_site_fract_y
_atom_site_fract_z
Mg1 Mg 0.000 0.000 0.000
Mg2 Mg 0.000 0.500 0.288
Ta1 Ta 0.000 0.500 0.728
Cr1 Cr 0.000 0.000 0.528
```

Most intense lines, 10 to 90 degrees two-theta, by angle:
2theta  intensity  h k l
19.1  33  0 0 2
28.9  13  0 0 3
33.2  16  1 1 0
34.6  37  1 1 1
37.7  29  0 2 0
38.6  100  1 1 2
38.8  19  0 0 4
39.0  19  0 2 1
44.6  37  1 1 3
68.7  18  1 3 2

# ThAlSe4
Theoretical X-ray powder pattern, Cu Kα, 1.54184 Å. Input: DFT lattice parameters and positions (GGA-PBE).
Intensities are scaled so that the largest is 100.

Structural model:
```
data_ThAlSe4
_chemical_formula_sum 'Th4 Al4 Se16'
_cell_length_a 9.470
_cell_length_b 9.470
_cell_length_c 8.123
_cell_angle_alpha 90.00
_cell_angle_beta 90.00
_cell_angle_gamma 90.00
_symmetry_space_group_name_H-M 'I 41/a m d'
_symmetry_Int_Tables_number 141
loop_
_symmetry_equiv_pos_as_xyz
'x,y,z'
'-x,-y,-z'
'-y+1/4,x+3/4,z+1/4'
'y+1/4,-x+3/4,-z+1/4'
'-x+1/2,-y,z+1/2'
'x+1/2,y,-z+1/2'
'y+1/4,-x+1/4,z+3/4'
'-y+1/4,x+1/4,-z+3/4'
'x,-y,-z'
'-x,y,z'
'-y+1/4,-x+1/4,-z+3/4'
'y+1/4,x+1/4,z+3/4'
'-x+1/2,y,-z+1/2'
'x+1/2,-y,z+1/2'
'y+1/4,x+3/4,-z+1/4'
'-y+1/4,-x+3/4,z+1/4'
'x+1/2,y+1/2,z+1/2'
'-x+1/2,-y+1/2,-z+1/2'
'-y+3/4,x+1/4,z+3/4'
'y+3/4,-x+1/4,-z+3/4'
'-x,-y+1/2,z'
'x,y+1/2,-z'
'y+3/4,-x+3/4,z+1/4'
'-y+3/4,x+3/4,-z+1/4'
'x+1/2,-y+1/2,-z+1/2'
'-x+1/2,y+1/2,z+1/2'
'-y+3/4,-x+3/4,-z+1/4'
'y+3/4,x+3/4,z+1/4'
'-x,y+1/2,-z'
'x,-y+1/2,z'
'y+3/4,x+1/4,-z+3/4'
'-y+3/4,-x+1/4,z+3/4'
loop_
_atom_site_label
_atom_site_type_symbol
_atom_site_fract_x
_atom_site_fract_y
_atom_site_fract_z
Th1 Th 0.000 0.250 0.375
Al1 Al 0.000 0.250 0.875
Se1 Se 0.000 0.064 0.679
```

Most intense lines, 10 to 90 degrees two-theta, by angle:
2theta  intensity  h k l
14.4  89  1 0 1
18.7  100  2 0 0
25.7  24  1 1 2
30.4  81  3 0 1
34.4  47  1 0 3
35.9  44  3 2 1
37.3  81  3 1 2
38.0  31  4 0 0
46.4  50  3 3 2
49.4  27  4 3 1

# Y3Si2Os2
Theoretical X-ray powder pattern, Cu Kα, 1.54184 Å. Input: DFT lattice parameters and positions (GGA-PBE).
Intensities are scaled so that the largest is 100.

Structural model:
```
data_Y3Si2Os2
_chemical_formula_sum 'Y12 Si8 Os8'
_cell_length_a 5.627
_cell_length_b 7.597
_cell_length_c 13.466
_cell_angle_alpha 90.00
_cell_angle_beta 90.00
_cell_angle_gamma 90.00
_symmetry_space_group_name_H-M 'P b c m'
_symmetry_Int_Tables_number 57
loop_
_symmetry_equiv_pos_as_xyz
'x,y,z'
'-x,-y,-z'
'-x,-y,z+1/2'
'x,y,-z+1/2'
'x,-y+1/2,-z'
'-x,y+1/2,z'
'-x,y+1/2,-z+1/2'
'x,-y+1/2,z+1/2'
loop_
_atom_site_label
_atom_site_type_symbol
_atom_site_fract_x
_atom_site_fract_y
_atom_site_fract_z
Y1 Y 0.124 0.249 0.250
Y2 Y 0.360 0.606 0.602
Si1 Si 0.095 0.250 0.000
Si2 Si 0.359 0.595 0.250
Os1 Os 0.147 0.526 0.091
```

Most intense lines, 10 to 90 degrees two-theta, by angle:
2theta  intensity  h k l
15.7  27  1 0 0
20.7  22  1 1 1
23.4  28  0 2 0
28.0  25  1 1 3
34.6  32  2 1 1
35.6  33  0 2 4
39.0  29  1 3 0
39.6  100  2 1 3
40.2  29  0 0 6
44.1  26  1 3 3

# LaHo2Cr2C4
Theoretical X-ray powder pattern, Cu Kα, 1.54184 Å. Input: DFT lattice parameters and positions (GGA-PBE).
Intensities are scaled so that the largest is 100.

Structural model:
```
data_LaHo2Cr2C4
_chemical_formula_sum 'La2 Ho4 Cr4 C8'
_cell_length_a 13.583
_cell_length_b 3.311
_cell_length_c 5.958
_cell_angle_alpha 90.00
_cell_angle_beta 113.88
_cell_angle_gamma 90.00
_symmetry_space_group_name_H-M 'C 1 2/m 1'
_symmetry_Int_Tables_number 12
loop_
_symmetry_equiv_pos_as_xyz
'x,y,z'
'-x,-y,-z'
'-x,y,-z'
'x,-y,z'
'x+1/2,y+1/2,z'
'-x+1/2,-y+1/2,-z'
'-x+1/2,y+1/2,-z'
'x+1/2,-y+1/2,z'
loop_
_atom_site_label
_atom_site_type_symbol
_atom_site_fract_x
_atom_site_fract_y
_atom_site_fract_z
La1 La 0.000 0.000 0.000
Ho1 Ho 0.148 0.000 0.540
Cr1 Cr 0.176 0.500 0.972
C1 C 0.021 0.500 0.631
C2 C 0.222 0.000 0.196
```

Most intense lines, 10 to 90 degrees two-theta, by angle:
2theta  intensity  h k l
25.8  22  2 0 1
26.7  61  4 0 -1
27.9  47  1 1 0
32.9  57  0 0 2
34.4  100  3 1 -1
41.2  46  1 1 -2
42.3  76  3 1 1
43.7  24  6 0 0
55.5  22  0 2 0
56.4  27  7 1 -2

# KCr2
Theoretical X-ray powder pattern, Cu Kα, 1.54184 Å. Input: DFT lattice parameters and positions (GGA-PBE).
Intensities are scaled so that the largest is 100.

Structural model:
```
data_KCr2
_chemical_formula_sum 'K4 Cr8'
_cell_length_a 3.074
_cell_length_b 23.449
_cell_length_c 4.394
_cell_angle_alpha 90.00
_cell_angle_beta 90.00
_cell_angle_gamma 90.00
_symmetry_space_group_name_H-M 'C m c m'
_symmetry_Int_Tables_number 63
_symmetry_space_group_name_Hall '-C 2c 2'
loop_
_atom_site_label
_atom_site_type_symbol
_atom_site_fract_x
_atom_site_fract_y
_atom_site_fract_z
K1 K 0.000 0.085 0.250
Cr1 Cr 0.000 0.266 0.750
Cr2 Cr 0.000 0.310 0.250
```

Most intense lines, 10 to 90 degrees two-theta, by angle:
2theta  intensity  h k l
15.1  31  0 4 0
22.8  32  0 6 0
25.3  82  0 4 1
31.3  43  1 3 0
34.9  100  1 5 0
36.9  31  0 8 1
37.5  58  1 3 1
41.1  51  0 0 2
50.4  75  1 9 1
55.0  47  1 5 2

# Ca2Nd2GaRh4
Theoretical X-ray powder pattern, Cu Kα, 1.54184 Å. Input: DFT lattice parameters and positions (GGA-PBE).
Intensities are scaled so that the largest is 100.

Structural model:
```
data_Ca2Nd2GaRh4
_chemical_formula_sum 'Ca4 Nd4 Ga2 Rh8'
_cell_length_a 6.653
_cell_length_b 6.653
_cell_length_c 9.017
_cell_angle_alpha 90.00
_cell_angle_beta 90.00
_cell_angle_gamma 90.00
_symmetry_space_group_name_H-M 'I 4/m m m'
_symmetry_Int_Tables_number 139
_symmetry_space_group_name_Hall '-I 4 2'
loop_
_atom_site_label
_atom_site_type_symbol
_atom_site_fract_x
_atom_site_fract_y
_atom_site_fract_z
Ca1 Ca 0.000 0.500 0.250
Nd1 Nd 0.000 0.000 0.187
Ga1 Ga 0.000 0.000 0.500
Rh1 Rh 0.240 0.240 0.000
```

Most intense lines, 10 to 90 degrees two-theta, by angle:
2theta  intensity  h k l
18.9  39  1 1 0
32.7  27  1 0 3
33.5  100  2 0 2
38.3  64  2 2 0
40.0  13  0 0 4
42.8  34  2 1 3
51.2  13  3 0 3
55.2  21  4 0 0
56.5  17  2 2 4
66.1  26  4 2 2

# ScTa2In
Theoretical X-ray powder pattern, Cu Kα, 1.54184 Å. Input: DFT lattice parameters and positions (GGA-PBE).
Intensities are scaled so that the largest is 100.

Structural model:
```
data_ScTa2In
_chemical_formula_sum 'Sc1 Ta2 In1'
_cell_length_a 3.497
_cell_length_b 3.497
_cell_length_c 6.671
_cell_angle_alpha 90.00
_cell_angle_beta 90.00
_cell_angle_gamma 90.00
_symmetry_space_group_name_H-M 'P 4 m m'
_symmetry_Int_Tables_number 99
loop_
_symmetry_equiv_pos_as_xyz
'x,y,z'
'-y,x,z'
'-x,-y,z'
'y,-x,z'
'-x,y,z'
'y,x,z'
'x,-y,z'
'-y,-x,z'
loop_
_atom_site_label
_atom_site_type_symbol
_atom_site_fract_x
_atom_site_fract_y
_atom_site_fract_z
Sc1 Sc 0.000 0.000 0.000
Ta1 Ta 0.000 0.000 0.457
Ta2 Ta 0.500 0.500 0.264
In1 In 0.500 0.500 0.727
```

Most intense lines, 10 to 90 degrees two-theta, by angle:
2theta  intensity  h k l
13.3  44  0 0 1
36.3  59  1 1 0
37.3  100  1 0 2
38.8  14  1 1 1
48.5  14  1 0 3
52.3  21  2 0 0
66.0  37  2 1 2
67.8  13  1 1 4
88.4  9  3 1 0
88.9  9  3 0 2

# K3Au2
Theoretical X-ray powder pattern, Cu Kα, 1.54184 Å. Input: DFT lattice parameters and positions (GGA-PBE).
Intensities are scaled so that the largest is 100.

Structural model:
```
data_K3Au2
_chemical_formula_sum 'K18 Au12'
_cell_length_a 8.1279
_cell_length_b 8.1279
_cell_length_c 23.7283
_cell_angle_alpha 90.00
_cell_angle_beta 90.00
_cell_angle_gamma 120.00
_symmetry_space_group_name_H-M 'R -3 c'
_symmetry_Int_Tables_number 167
_symmetry_space_group_name_Hall '-R 3 2"c'
loop_
_atom_site_label
_atom_site_type_symbol
_atom_site_fract_x
_atom_site_fract_y
_atom_site_fract_z
K1 K 0.0000 0.3201 0.2500
Au1 Au 0.0000 0.0000 0.1614
```

Most intense lines, 10 to 90 degrees two-theta, by angle:
2theta  intensity  h k l
14.6  49  0 1 2
19.6  43  1 0 4
21.9  66  1 1 0
29.5  19  0 2 4
31.6  100  1 1 6
37.0  20  2 1 4
38.4  39  3 0 0
50.5  27  2 2 6
61.3  17  3 0 12
65.2  25  4 1 6